For K5Ag6, a DFT-relaxed cell (PBE, OQMD) gives the simulated PXRD pattern in this record (Cu Kα, 1.54184 Å).
Peak positions follow from Bragg's law for the DFT cell and can differ from measured ones.

The 10 most intense peaks (15° ≤ 2θ ≤ 90°), sorted by position:
| 2θ/deg | d_spacing | I_rel |
| --- | --- | --- |
| 16.27 | 5.449 | 456 |
| 19.23 | 4.615 | 1000 |
| 27.42 | 3.253 | 926 |
| 28.66 | 3.114 | 581 |
| 32.52 | 2.753 | 478 |
| 35.46 | 2.531 | 750 |
| 36.14 | 2.486 | 483 |
| 37.22 | 2.416 | 441 |
| 37.39 | 2.405 | 435 |
| 52.48 | 1.744 | 458 |

Structural model:
a = 16.524 Å, b = 16.524 Å, c = 4.810 Å
α = 90.00°, β = 90.00°, γ = 163.19°
Element x y z (fractional)
1 K 0.000 0.000 0.000
2 K 0.196 0.804 0.500
3 K 0.383 0.617 0.000
4 K 0.617 0.383 0.000
5 K 0.804 0.196 0.500
6 Ag 0.085 0.915 0.500
7 Ag 0.273 0.727 0.000
8 Ag 0.458 0.542 0.500
9 Ag 0.542 0.458 0.500
10 Ag 0.727 0.273 0.000
11 Ag 0.915 0.085 0.500